No. 1
Nd4C2I2BrCl2: calculated PXRD pattern (copper Kα), based on a crystal structure in OQMD, relaxed with PBE.

Top 10 peaks for 5 to 70 degrees two-theta, most intense first:
2θ/deg  d (Å)  I/Imax  h k l
28.39  3.143  100  6 0 0
31.78  2.816  79  3 1 -2
31.44  2.846  65  1 1 -2
30.98  2.887  57  3 1 1
11.96  7.402  56  2 0 -1
26.77  3.330  50  3 1 -1
54.47  1.684  48  6 2 0
47.13  1.928  36  9 1 -2
35.04  2.561  34  0 0 3
36.42  2.467  31  6 0 -3

Crystal structure
Lattice parameters (Å, degrees): 20.215 3.989 8.234 90.00 111.09 90.00
Space group C2/m (No. 12)
Asymmetric unit:
Nd (0.005, 0.000, 0.302)
Nd (0.157, 0.500, 0.643)
C (0.037, 0.500, 0.535)
I (0.160, 0.000, 0.944)
Br (0.000, 0.500, 0.000)
Cl (0.165, 0.000, 0.401)

***

No. 2
Nd4C2IBr2Cl2: calculated PXRD pattern (copper Kα), based on a crystal structure in OQMD, relaxed with PBE.

Top 10 peaks for 5 to 70 degrees two-theta, most intense first:
2θ/deg  d (Å)  I/Imax  h k l
29.74  3.004  100  6 0 0
31.08  2.878  85  1 1 -2
31.30  2.858  77  3 1 -2
26.70  3.339  66  3 1 -1
9.81  9.012  50  2 0 0
31.51  2.840  45  3 1 1
11.71  7.555  40  2 0 -1
40.30  2.238  37  7 1 -2
55.15  1.665  36  6 2 0
34.75  2.581  33  0 0 3

Crystal structure
Lattice parameters (Å, degrees): 19.667 4.002 8.450 90.00 113.59 90.00
Space group C2/m (No. 12)
Asymmetric unit:
Nd (0.003, 0.000, 0.308)
Nd (0.164, 0.500, 0.656)
C (0.039, 0.500, 0.538)
I (0.000, 0.500, 0.000)
Br (0.164, 0.000, 0.922)
Cl (0.167, 0.000, 0.414)

***

No. 3
Pr2Nd2CI2Br2Cl: calculated PXRD pattern (copper Kα), based on a crystal structure in OQMD, relaxed with PBE.

Top 10 peaks for 5 to 70 degrees two-theta, most intense first:
2θ/deg  d (Å)  I/Imax  h k l
30.93  2.891  100  1 1 -2
28.94  3.085  46  6 0 0
43.29  2.090  43  2 0 -4
32.96  2.717  30  5 1 0
10.78  8.207  30  0 0 1
42.44  2.130  27  5 1 2
29.80  2.998  25  3 1 1
45.33  2.001  19  0 2 0
31.84  2.811  16  4 0 2
27.62  3.229  15  3 1 -1

Crystal structure
Lattice parameters (Å, degrees): 18.869 4.001 8.367 90.00 101.22 90.00
Space group C2/m (No. 12)
Asymmetric unit:
Pr (0.003, 0.000, 0.289)
Nd (0.136, 0.500, 0.565)
C (0.000, 0.500, 0.500)
I (0.166, 0.000, 0.858)
Br (0.170, 0.000, 0.323)
Cl (0.000, 0.500, 0.000)

***

No. 4
Pr2Nd2CI2BrCl2: calculated PXRD pattern (copper Kα), based on a crystal structure in OQMD, relaxed with PBE.

Top 10 peaks for 5 to 70 degrees two-theta, most intense first:
2θ/deg  d (Å)  I/Imax  h k l
30.49  2.931  100  1 1 -2
30.12  2.967  43  6 0 0
29.97  2.981  40  3 1 1
43.93  2.061  30  7 1 -2
42.85  2.110  25  5 1 2
27.68  3.222  24  3 1 -1
20.62  4.308  23  4 0 -1
12.96  6.833  22  2 0 -1
35.53  2.527  20  2 0 3
33.62  2.666  20  5 1 0

Crystal structure
Lattice parameters (Å, degrees): 18.175 4.022 8.568 90.00 101.65 90.00
Space group C2/m (No. 12)
Asymmetric unit:
Pr (0.004, 0.000, 0.296)
Nd (0.142, 0.500, 0.566)
C (0.000, 0.500, 0.500)
I (0.171, 0.000, 0.853)
Br (0.000, 0.500, 0.000)
Cl (0.170, 0.000, 0.346)

***

No. 5
Nd2Sc2CI2Br2Cl: calculated PXRD pattern (copper Kα), based on a crystal structure in OQMD, relaxed with PBE.

Top 10 peaks for 5 to 70 degrees two-theta, most intense first:
2θ/deg  d (Å)  I/Imax  h k l
32.31  2.771  100  1 1 -2
11.20  7.899  54  0 0 1
19.79  4.485  45  4 0 0
29.88  2.990  43  6 0 0
26.00  3.427  35  1 1 -1
44.42  2.039  28  5 1 2
38.06  2.364  24  3 1 2
34.48  2.601  22  5 1 -1
31.23  2.864  20  3 1 1
47.78  1.904  19  0 2 0

Crystal structure
Lattice parameters (Å, degrees): 18.352 3.807 8.080 90.00 102.15 90.00
Space group C2/m (No. 12)
Asymmetric unit:
Nd (0.138, 0.000, 0.077)
Sc (0.002, 0.500, 0.811)
C (0.000, 0.000, 0.000)
I (0.167, 0.500, 0.791)
Br (0.146, 0.500, 0.353)
Cl (0.000, 0.000, 0.500)

***

No. 6
Nd2Sc2CI2Br2Cl: calculated PXRD pattern (copper Kα), based on a crystal structure in OQMD, relaxed with PBE.

Top 10 peaks for 5 to 70 degrees two-theta, most intense first:
2θ/deg  d (Å)  I/Imax  h k l
32.03  2.794  100  1 1 -2
8.84  10.003  61  2 0 0
26.74  3.334  59  6 0 0
23.63  3.765  54  1 1 0
39.33  2.291  33  7 1 0
41.77  2.162  29  5 1 2
42.62  2.121  28  7 1 -2
22.35  3.977  27  2 0 -2
22.10  4.021  26  0 0 2
32.34  2.768  23  5 1 0

Crystal structure
Lattice parameters (Å, degrees): 20.312 3.833 8.166 90.00 99.97 90.00
Space group C2/m (No. 12)
Asymmetric unit:
Nd (0.001, 0.000, 0.286)
Sc (0.112, 0.500, 0.549)
C (0.000, 0.500, 0.500)
I (0.158, 0.000, 0.819)
Br (0.151, 0.000, 0.341)
Cl (0.000, 0.500, 0.000)

***

No. 7
Nd2Sm2C2IBr2Cl2: calculated PXRD pattern (copper Kα), based on a crystal structure in OQMD, relaxed with PBE.

Top 10 peaks for 5 to 70 degrees two-theta, most intense first:
2θ/deg  d (Å)  I/Imax  h k l
30.73  2.909  100  1 1 -2
29.28  3.050  64  6 0 0
27.57  3.235  39  3 1 -1
43.35  2.087  37  5 1 2
42.58  2.123  37  7 1 -2
30.36  2.944  37  3 1 1
9.67  9.150  33  2 0 0
10.61  8.335  32  0 0 1
16.09  5.509  28  2 0 1
19.64  4.520  22  4 0 -1

Crystal structure
Lattice parameters (Å, degrees): 18.911 3.946 8.613 90.00 104.60 90.00
Space group C2/m (No. 12)
Asymmetric unit:
Nd (0.001, 0.000, 0.309)
Sm (0.160, 0.500, 0.596)
C (0.038, 0.500, 0.523)
I (0.000, 0.500, 0.000)
Br (0.165, 0.000, 0.849)
Cl (0.171, 0.000, 0.364)

***

No. 8
Nd2Sm2C2IBr2Cl2: calculated PXRD pattern (copper Kα), based on a crystal structure in OQMD, relaxed with PBE.

Top 10 peaks for 5 to 70 degrees two-theta, most intense first:
2θ/deg  d (Å)  I/Imax  h k l
30.80  2.903  100  1 1 -2
28.82  3.098  67  6 0 0
10.69  8.273  66  0 0 1
9.52  9.293  39  2 0 0
43.31  2.089  38  5 1 2
42.05  2.149  36  7 1 -2
27.43  3.252  23  3 1 -1
45.97  1.974  22  0 2 0
30.32  2.948  21  3 1 1
32.79  2.731  21  5 1 -1

Crystal structure
Lattice parameters (Å, degrees): 19.262 3.948 8.574 90.00 105.22 90.00
Space group C2/m (No. 12)
Asymmetric unit:
Nd (0.001, 0.000, 0.193)
Sm (0.157, 0.500, 0.105)
C (0.038, 0.500, 0.024)
I (0.000, 0.500, 0.500)
Br (0.169, 0.000, 0.850)
Cl (0.160, 0.000, 0.336)